Simulated XRD peak list of LiMo6Se8 for copper Kα, from a PBE-relaxed structure.

The 10 most intense peaks (5° ≤ 2θ ≤ 70°), sorted by position:
h k l  2theta  intensity
1 0 1  13.07  100.0
1 1 3  29.80  17.6
3 0 0  31.95  14.8
1 2 2  32.24  32.6
1 3 1  39.46  35.0
0 1 5  40.88  17.4
4 -2 3  44.25  60.3
0 0 6  47.70  13.5
2 3 2  49.92  25.0
5 -2 4  57.66  15.8

Structural model:
Cell: 9.7033 9.7033 11.4405 Å, 90.00 90.00 120.00°
Space group R-3 (No. 148, hexagonal axes)
Symmetry-distinct sites (fractional):
Li1 0.0000 0.0000 0.0000
Mo1 0.0181 0.8495 0.3998
Se1 0.0000 0.0000 0.2231
Se2 0.0052 0.6281 0.2503

Simulated XRD peak list of Li4MgAlPt2 for copper Kα, from a PBE-relaxed structure.

The 10 most intense peaks (5° ≤ 2θ ≤ 70°), sorted by position:
h k l  2theta  intensity
1 0 1  25.18  100.0
1 1 0  29.16  39.8
1 0 2  35.92  2.7
2 0 0  41.70  58.1
2 1 1  49.34  47.7
2 0 2  51.69  10.7
1 1 3  53.99  1.9
2 2 0  60.45  9.5
3 0 1  66.54  18.8
3 1 0  68.50  13.4

Structural model:
Cell: 4.3325 4.3325 6.1227 Å, 90.00 90.00 90.00°
Space group P-4m2 (No. 115)
Symmetry-distinct sites (fractional):
Li1 0.0000 0.0000 0.0000
Li2 0.0000 0.5000 0.7463
Li3 0.5000 0.5000 0.5000
Mg1 0.5000 0.5000 0.0000
Al1 0.0000 0.0000 0.5000
Pt1 0.0000 0.5000 0.2703

Simulated XRD peak list of CuPd6Pt for copper Kα, from a PBE-relaxed structure.

The 9 most intense peaks (5° ≤ 2θ ≤ 70°), sorted by position:
h k l  2theta  intensity
1 1 1  19.61  10.6
2 0 0  22.68  0.6
2 2 0  32.29  0.6
3 1 1  38.06  6.2
2 2 2  39.82  100.0
4 0 0  46.31  48.5
3 3 1  50.75  2.8
5 1 1  61.44  2.2
4 4 0  67.58  30.6

Structural model:
Cell: 7.8414 7.8414 7.8414 Å, 90.00 90.00 90.00°
Space group Fm-3m (No. 225)
Symmetry-distinct sites (fractional):
Cu1 0.0000 0.0000 0.0000
Pd1 0.0000 0.2500 0.2500
Pt1 0.0000 0.0000 0.5000

Simulated XRD peak list of KPrSeO for copper Kα, from a PBE-relaxed structure.

The 10 most intense peaks (5° ≤ 2θ ≤ 70°), sorted by position:
h k l  2theta  intensity
0 0 1  7.76  100.0
1 1 -1  21.27  24.0
1 1 1  23.92  41.6
1 1 -2  24.08  43.6
1 1 2  28.61  41.3
1 1 -3  28.84  41.1
2 0 0  30.75  56.8
1 1 3  34.58  30.3
1 1 -4  34.85  28.4
2 2 -1  42.55  48.8

Structural model:
Cell: 6.0097 6.0090 11.7501 Å, 90.00 104.19 90.00°
Space group P2_1 (No. 4)
Symmetry-distinct sites (fractional):
K1 0.0508 0.0000 0.1000
K2 0.4490 0.9995 0.8994
Pr1 0.0475 0.2513 0.5981
Pr2 0.4524 0.2512 0.4018
Se1 0.1006 0.4983 0.2029
Se2 0.3993 0.4981 0.7972
O1 0.2499 0.0016 0.5000
O2 0.2499 0.5020 0.5000

Simulated XRD peak list of ZnNi3 for copper Kα, from a PBE-relaxed structure.

The 10 most intense peaks (5° ≤ 2θ ≤ 70°), sorted by position:
h k l  2theta  intensity
2 0 0  41.22  5.4
2 0 1  41.72  10.9
0 2 2  43.19  100.0
0 0 7  44.09  71.6
0 2 3  45.54  97.0
2 0 4  48.69  79.2
2 0 5  52.53  54.1
0 2 6  56.96  4.2
0 2 7  61.94  3.0
2 0 8  67.41  2.3

Structural model:
Cell: 5.0572 5.0572 14.3791 Å, 90.00 90.00 120.00°
Space group P-3m1 (No. 164)
Symmetry-distinct sites (fractional):
Zn1 0.0000 0.0000 0.0000
Zn2 0.0000 0.0000 0.2860
Zn3 0.3333 0.6667 0.1431
Zn4 0.3333 0.6667 0.5708
Ni1 0.0000 0.5000 0.0000
Ni2 0.0005 0.5003 0.7144
Ni3 0.1665 0.3330 0.4283
Ni4 0.1681 0.3361 0.8574

Simulated XRD peak list of GaAu15 for copper Kα, from a PBE-relaxed structure.

The 10 most intense peaks (5° ≤ 2θ ≤ 70°), sorted by position:
h k l  2theta  intensity
1 1 9  35.31  5.4
1 1 10  36.26  5.6
1 1 11  37.30  100.0
1 1 12  38.40  28.1
0 0 22  41.29  16.3
0 0 23  43.26  8.2
2 0 0  44.34  41.5
2 0 22  62.18  19.8
2 0 23  63.67  10.6
2 2 0  64.50  13.8

Structural model:
Cell: 4.0853 4.0885 48.1020 Å, 90.00 90.00 90.00°
Space group Pmma (No. 51)
Symmetry-distinct sites (fractional):
Ga1 0.2500 0.0000 0.1637
Au1 0.2500 0.0000 0.2539
Au2 0.2500 0.0000 0.3434
Au3 0.2500 0.0000 0.4328
Au4 0.2500 0.0000 0.5223
Au5 0.2500 0.0000 0.6118
Au6 0.2500 0.0000 0.7013
Au7 0.2500 0.0000 0.7912
Au8 0.2500 0.5000 0.2088
Au9 0.2500 0.5000 0.2987
Au10 0.2500 0.5000 0.3881
Au11 0.2500 0.5000 0.4776
Au12 0.2500 0.5000 0.5671
Au13 0.2500 0.5000 0.6565
Au14 0.2500 0.5000 0.7461
Au15 0.2500 0.5000 0.8358

Repeat the fourth record exactly.
Simulated XRD peak list of KPrSeO for copper Kα, from a PBE-relaxed structure.

The 10 most intense peaks (5° ≤ 2θ ≤ 70°), sorted by position:
h k l  2theta  intensity
0 0 1  7.76  100.0
1 1 -1  21.27  24.0
1 1 1  23.92  41.6
1 1 -2  24.08  43.6
1 1 2  28.61  41.3
1 1 -3  28.84  41.1
2 0 0  30.75  56.8
1 1 3  34.58  30.3
1 1 -4  34.85  28.4
2 2 -1  42.55  48.8

Structural model:
Cell: 6.0097 6.0090 11.7501 Å, 90.00 104.19 90.00°
Space group P2_1 (No. 4)
Symmetry-distinct sites (fractional):
K1 0.0508 0.0000 0.1000
K2 0.4490 0.9995 0.8994
Pr1 0.0475 0.2513 0.5981
Pr2 0.4524 0.2512 0.4018
Se1 0.1006 0.4983 0.2029
Se2 0.3993 0.4981 0.7972
O1 0.2499 0.0016 0.5000
O2 0.2499 0.5020 0.5000

Copy entry 3 word for word.
Simulated XRD peak list of CuPd6Pt for copper Kα, from a PBE-relaxed structure.

The 9 most intense peaks (5° ≤ 2θ ≤ 70°), sorted by position:
h k l  2theta  intensity
1 1 1  19.61  10.6
2 0 0  22.68  0.6
2 2 0  32.29  0.6
3 1 1  38.06  6.2
2 2 2  39.82  100.0
4 0 0  46.31  48.5
3 3 1  50.75  2.8
5 1 1  61.44  2.2
4 4 0  67.58  30.6

Structural model:
Cell: 7.8414 7.8414 7.8414 Å, 90.00 90.00 90.00°
Space group Fm-3m (No. 225)
Symmetry-distinct sites (fractional):
Cu1 0.0000 0.0000 0.0000
Pd1 0.0000 0.2500 0.2500
Pt1 0.0000 0.0000 0.5000